The following is a theoretical PXRD pattern of MgSc2Al2Pd5. It was derived from a structure optimized by DFT (GGA-PBE), using λ = 1.5418 Å (Cu Kα).

Principal peaks in the range 2θ from 10° to 80°, in order of rising 2θ:
- d 3.658, I 33
- d 3.047, I 12
- d 2.789, I 19
- d 2.672, I 13
- d 2.340, I 100
- d 2.157, I 48
- d 1.969, I 15
- d 1.829, I 17
- d 1.440, I 16
- d 1.277, I 13

Structure:
abc: 9.6356 9.6356 3.6577
angles: 90.00 90.00 90.00
Atoms (fractional coordinates):
1 Mg 0.0000 0.0000 0.0000
2 Mg 0.5000 0.5000 0.0000
3 Sc 0.1744 0.3256 0.0000
4 Sc 0.3256 0.8256 0.0000
5 Sc 0.6744 0.1744 0.0000
6 Sc 0.8256 0.6744 0.0000
7 Al 0.1238 0.6238 0.0000
8 Al 0.3762 0.1238 0.0000
9 Al 0.6238 0.8762 0.0000
10 Al 0.8762 0.3762 0.0000
11 Pd 0.0000 0.5000 0.5000
12 Pd 0.0699 0.7926 0.5000
13 Pd 0.2074 0.0699 0.5000
14 Pd 0.2926 0.5699 0.5000
15 Pd 0.4301 0.2926 0.5000
16 Pd 0.5000 0.0000 0.5000
17 Pd 0.5699 0.7074 0.5000
18 Pd 0.7074 0.4301 0.5000
19 Pd 0.7926 0.9301 0.5000
20 Pd 0.9301 0.2074 0.5000

=====

The following is a theoretical PXRD pattern of Y2Mg3Pd4. It was derived from a structure optimized by DFT (GGA-PBE), using λ = 1.5418 Å (Cu Kα).

Principal peaks in the range 2θ from 10° to 80°, in order of rising 2θ:
- d 3.735, I 48
- d 2.444, I 100
- d 2.363, I 96
- d 1.997, I 15
- d 1.700, I 22
- d 1.697, I 11
- d 1.525, I 10
- d 1.428, I 15
- d 1.380, I 26
- d 1.364, I 16

Structure:
abc: 4.7242 4.7259 9.1402
angles: 89.89 89.94 60.04
Atoms (fractional coordinates):
1 Y 0.1667 0.1654 0.2133
2 Y 0.8333 0.8346 0.7867
3 Mg 0.1667 0.1684 0.5810
4 Mg 0.5000 0.5000 0.0000
5 Mg 0.8333 0.8316 0.4190
6 Pd 0.1665 0.1677 0.8960
7 Pd 0.4999 0.4979 0.3491
8 Pd 0.5001 0.5021 0.6509
9 Pd 0.8335 0.8323 0.1040

=====

The following is a theoretical PXRD pattern of Sm3Mg5Ir2. It was derived from a structure optimized by DFT (GGA-PBE), using λ = 1.5418 Å (Cu Kα).

Principal peaks in the range 2θ from 10° to 80°, in order of rising 2θ:
- d 4.430, I 40
- d 4.129, I 69
- d 3.010, I 100
- d 2.953, I 44
- d 2.775, I 59
- d 2.471, I 42
- d 2.341, I 39
- d 2.241, I 45
- d 2.218, I 40
- d 2.142, I 60

Structure:
abc: 9.4050 9.4050 9.4050
angles: 99.21 93.42 141.28
Atoms (fractional coordinates):
1 Sm 0.1668 0.2437 0.4105
2 Sm 0.2500 0.2500 0.0000
3 Sm 0.3332 0.7437 0.0769
4 Sm 0.6668 0.2563 0.9231
5 Sm 0.7500 0.7500 0.0000
6 Sm 0.8332 0.7563 0.5895
7 Mg 0.0167 0.7500 0.2667
8 Mg 0.0780 0.6782 0.7562
9 Mg 0.2500 0.7500 0.5000
10 Mg 0.4220 0.1782 0.6002
11 Mg 0.4833 0.7500 0.7333
12 Mg 0.5167 0.2500 0.2667
13 Mg 0.5780 0.8218 0.3998
14 Mg 0.7500 0.2500 0.5000
15 Mg 0.9220 0.3218 0.2438
16 Mg 0.9833 0.2500 0.7333
17 Ir 0.1522 0.8706 0.0228
18 Ir 0.3478 0.3706 0.7185
19 Ir 0.6522 0.6294 0.2815
20 Ir 0.8478 0.1294 0.9772

=====

Please write out number 3 again, unchanged.
The following is a theoretical PXRD pattern of Sm3Mg5Ir2. It was derived from a structure optimized by DFT (GGA-PBE), using λ = 1.5418 Å (Cu Kα).

Principal peaks in the range 2θ from 10° to 80°, in order of rising 2θ:
- d 4.430, I 40
- d 4.129, I 69
- d 3.010, I 100
- d 2.953, I 44
- d 2.775, I 59
- d 2.471, I 42
- d 2.341, I 39
- d 2.241, I 45
- d 2.218, I 40
- d 2.142, I 60

Structure:
abc: 9.4050 9.4050 9.4050
angles: 99.21 93.42 141.28
Atoms (fractional coordinates):
1 Sm 0.1668 0.2437 0.4105
2 Sm 0.2500 0.2500 0.0000
3 Sm 0.3332 0.7437 0.0769
4 Sm 0.6668 0.2563 0.9231
5 Sm 0.7500 0.7500 0.0000
6 Sm 0.8332 0.7563 0.5895
7 Mg 0.0167 0.7500 0.2667
8 Mg 0.0780 0.6782 0.7562
9 Mg 0.2500 0.7500 0.5000
10 Mg 0.4220 0.1782 0.6002
11 Mg 0.4833 0.7500 0.7333
12 Mg 0.5167 0.2500 0.2667
13 Mg 0.5780 0.8218 0.3998
14 Mg 0.7500 0.2500 0.5000
15 Mg 0.9220 0.3218 0.2438
16 Mg 0.9833 0.2500 0.7333
17 Ir 0.1522 0.8706 0.0228
18 Ir 0.3478 0.3706 0.7185
19 Ir 0.6522 0.6294 0.2815
20 Ir 0.8478 0.1294 0.9772

=====

Question: Which formula does entry 2 have?
Answer: Y2Mg3Pd4